No. 1
Calculated PXRD pattern
Compound: Pr4ErS7
Radiation: Cu Kα (λ = 1.5418 Å)
Structure: a crystal structure in Alexandria, relaxed with PBE
Peak positions follow from Bragg's law for the DFT cell and can differ from measured ones.

Crystal structure
```
Pr4ErS7
1.0
6.673 -1.978 0.000
6.673 1.978 0.000
-3.143 0.000 11.504
Pr Er S
4 1 7
Direct
0.000 0.000 0.000 Pr
0.191 0.191 0.768 Pr
0.587 0.587 0.381 Pr
0.888 0.888 0.571 Pr
0.776 0.776 0.152 Er
0.159 0.159 0.221 S
0.227 0.227 0.522 S
0.382 0.382 0.078 S
0.549 0.549 0.625 S
0.633 0.633 0.933 S
0.848 0.848 0.789 S
0.927 0.927 0.350 S
```

Most intense lines, 10° ≤ 2θ ≤ 90°, in order of falling intensity:
Position (°2θ), I/Imax
23.30, 1000
23.67, 948
31.91, 714
26.72, 464
30.32, 453
33.09, 443
25.36, 421
40.86, 395
45.89, 346
23.53, 345


No. 2
Calculated PXRD pattern
Compound: Mg16PaAl12
Radiation: Cu Kα (λ = 1.5418 Å)
Structure: a crystal structure in Alexandria, relaxed with PBE
Peak positions follow from Bragg's law for the DFT cell and can differ from measured ones.

Crystal structure
```
Mg16PaAl12
1.0
7.598 4.386 2.945
-7.598 4.386 2.945
0.000 -8.773 2.945
Mg Pa Al
16 1 12
Direct
0.000 0.000 0.000 Mg
0.003 0.003 0.660 Mg
0.003 0.660 0.003 Mg
0.008 0.396 0.696 Mg
0.008 0.696 0.396 Mg
0.279 0.613 0.613 Mg
0.323 0.323 0.726 Mg
0.323 0.726 0.323 Mg
0.396 0.008 0.696 Mg
0.396 0.696 0.008 Mg
0.613 0.279 0.613 Mg
0.613 0.613 0.279 Mg
0.660 0.003 0.003 Mg
0.696 0.008 0.396 Mg
0.696 0.396 0.008 Mg
0.726 0.323 0.323 Mg
0.378 0.378 0.378 Pa
0.010 0.193 0.371 Al
0.010 0.371 0.193 Al
0.175 0.814 0.814 Al
0.193 0.010 0.371 Al
0.193 0.371 0.010 Al
0.371 0.010 0.193 Al
0.371 0.193 0.010 Al
0.630 0.630 0.811 Al
0.630 0.811 0.630 Al
0.811 0.630 0.630 Al
0.814 0.175 0.814 Al
0.814 0.814 0.175 Al
```

Most intense lines, 10° ≤ 2θ ≤ 90°, in order of falling intensity:
Position (°2θ), I/Imax
11.65, 1000
36.76, 866
36.03, 826
12.07, 731
35.45, 506
20.49, 488
39.47, 450
16.80, 400
64.50, 297
26.42, 281


No. 3
Calculated PXRD pattern
Compound: NaHg5O6
Radiation: Cu Kα (λ = 1.5418 Å)
Structure: a crystal structure in Alexandria, relaxed with PBE
Peak positions follow from Bragg's law for the DFT cell and can differ from measured ones.

Crystal structure
```
NaHg5O6
1.0
6.135 0.000 0.000
2.894 5.453 0.000
0.586 2.841 5.925
Na Hg O
1 5 6
Direct
0.000 0.000 0.000 Na
0.000 0.500 0.500 Hg
0.332 0.329 0.994 Hg
0.338 0.836 0.496 Hg
0.662 0.164 0.504 Hg
0.668 0.671 0.006 Hg
0.103 0.182 0.220 O
0.266 0.164 0.755 O
0.437 0.509 0.218 O
0.563 0.491 0.782 O
0.734 0.836 0.245 O
0.897 0.818 0.780 O
```

Most intense lines, 10° ≤ 2θ ≤ 90°, in order of falling intensity:
Position (°2θ), I/Imax
28.58, 1000
33.54, 833
30.17, 769
34.60, 748
31.46, 708
31.99, 668
38.07, 577
51.01, 443
45.71, 311
52.06, 246


No. 4
Calculated PXRD pattern
Compound: Ti5Al2Re2Tc
Radiation: Cu Kα (λ = 1.5418 Å)
Structure: a crystal structure in Alexandria, relaxed with PBE
Peak positions follow from Bragg's law for the DFT cell and can differ from measured ones.

Crystal structure
```
Ti5Al2Re2Tc
1.0
10.239 0.000 0.000
0.000 10.239 0.000
0.000 0.000 3.259
Ti Al Re Tc
10 4 4 2
Direct
0.000 0.500 0.000 Ti
0.076 0.188 0.000 Ti
0.188 0.924 0.000 Ti
0.312 0.424 0.000 Ti
0.424 0.688 0.000 Ti
0.500 0.000 0.000 Ti
0.576 0.312 0.000 Ti
0.688 0.576 0.000 Ti
0.812 0.076 0.000 Ti
0.924 0.812 0.000 Ti
0.169 0.669 0.500 Al
0.331 0.169 0.500 Al
0.669 0.831 0.500 Al
0.831 0.331 0.500 Al
0.134 0.366 0.500 Re
0.366 0.866 0.500 Re
0.634 0.134 0.500 Re
0.866 0.634 0.500 Re
0.000 0.000 0.500 Tc
0.500 0.500 0.500 Tc
```

Most intense lines, 10° ≤ 2θ ≤ 90°, in order of falling intensity:
Position (°2θ), I/Imax
19.38, 1000
39.22, 902
42.21, 348
33.76, 249
27.55, 243
47.84, 165
50.42, 141
45.04, 137
58.31, 124
27.37, 116